Starting from a GGA-PBE-relaxed structure, the XRD peak list of Sb3TeClO6 was calculated for Cu Kα, 1.54184 Å.

Cell and atoms:
```
Sb3TeClO6
1.0
7.8105 -2.0770 0.0000
7.8105 2.0770 0.0000
-5.2150 0.0000 8.1345
Sb Te Cl O
3 1 1 6
direct
0.0000 0.0000 0.0000
0.0017 0.0017 0.3678
0.6832 0.6832 0.6518
0.6794 0.6794 0.0156
0.3381 0.3381 0.0107
0.0674 0.0674 0.2396
0.1368 0.1368 0.5898
0.1407 0.1407 0.0180
0.5482 0.5482 0.4358
0.5521 0.5521 0.0082
0.6152 0.6152 0.7843
```

Most intense lines, 2θ from 10° to 80°, sorted by position:
2theta, I_rel
10.88, 36
11.89, 43
13.47, 80
18.44, 53
22.45, 30
29.63, 100
33.04, 34
35.36, 39
36.20, 33
53.15, 25